This entry pairs a crystal structure of Li6PdAu12 with its theoretical powder diffractogram. Radiation: Cu Ka. Structure: a crystal structure in Alexandria, relaxed with PBE.
Neutral-atom scattering factors, no anomalous dispersion.

Cell and atoms:
a b c (Å): 9.5617 9.5617 12.0627
angles (deg): 90.00 90.00 120.00
Space group R-3 (No. 148, hexagonal axes)
Asymmetric unit:
Li1 0.0260 0.4351 0.2047 [18 per cell]
Pd1 0.0000 0.0000 0.5000 [3 per cell]
Au1 0.0248 0.1857 0.3176 [18 per cell]
Au2 0.0611 0.8466 0.9105 [18 per cell]

The 6 most intense peaks (15 to 90 degrees two-theta), in order of rising 2θ:
2θ 29.5, intensity 100.0; 2θ 38.9, intensity 66.9; 2θ 39.6, intensity 58.6; 2θ 40.0, intensity 74.3; 2θ 41.6, intensity 88.8; 2θ 42.1, intensity 45.9